Structure and calculated X-ray powder pattern of Nd4FeCo3As4O4 (a DFT-relaxed cell (PBE+U, Alexandria); Cu Kα (weighted mean of Kα1 and Kα2)).
Kinematic intensities with the Lorentz-polarization factor, no thermal factor.

Top 12 peaks for 2θ = 10–80°, low angle first:
index, 2θ/deg, I (rel.)
1 0 1, 24.3, 7
0 2 2, 30.0, 100
1 2 0, 31.5, 20
1 2 1, 33.1, 18
1 2 2, 37.6, 21
1 0 3, 37.7, 7
2 0 0, 45.1, 32
1 0 4, 46.7, 6
1 2 4, 52.3, 31
2 2 2, 55.1, 35
2 4 0, 65.7, 10
3 0 2, 73.9, 7

a b c (Å): 4.020 8.042 8.885
angles (deg): 90.00 90.00 90.00
Space group Pmm2 (No. 25)
Inequivalent atoms, fractional coordinates:
Nd  0.000  0.000  0.000 [1 per cell]
Nd  0.000  0.500  0.008 [1 per cell]
Nd  0.500  0.255  0.735 [2 per cell]
Fe  0.500  0.500  0.360 [1 per cell]
Co  0.000  0.253  0.366 [2 per cell]
Co  0.500  0.000  0.377 [1 per cell]
As  0.000  0.000  0.517 [1 per cell]
As  0.000  0.500  0.540 [1 per cell]
As  0.500  0.232  0.202 [2 per cell]
O  0.000  0.252  0.868 [2 per cell]
O  0.500  0.000  0.858 [1 per cell]
O  0.500  0.500  0.878 [1 per cell]